No. 1
Theoretical X-ray powder pattern of Zr3Ta for Cu Kα (λ = 1.5418 Å), from a crystal structure in Alexandria, relaxed with GGA-PBE.
Kinematic intensities with the Lorentz-polarization factor, no thermal factor.

Atomic structure:
```
data_Zr3Ta
_chemical_formula_sum 'Zr6 Ta2'
_symmetry_space_group_name_H-M 'P m m n'
_symmetry_Int_Tables_number 59
_cell_length_a 5.118
_cell_length_b 6.109
_cell_length_c 5.604
_cell_angle_alpha 90.00
_cell_angle_beta 90.00
_cell_angle_gamma 90.00
loop_
_symmetry_equiv_pos_as_xyz
'x,y,z'
'-x,-y,-z'
'-x+1/2,-y+1/2,z'
'x+1/2,y+1/2,-z'
'x+1/2,-y,-z'
'-x+1/2,y,z'
'-x,y+1/2,-z'
'x,-y+1/2,z'
loop_
_atom_site_label
_atom_site_fract_x
_atom_site_fract_y
_atom_site_fract_z
Zr1 0.250 0.002 0.145
Zr2 0.250 0.250 0.625
Ta1 0.250 0.750 0.655
```

Most intense lines, 2θ = 5–70°, in order of rising 2θ:
4.130 Å, 2θ 21.52, rel. 109, hkl 0 1 1; 2.682 Å, 2θ 33.41, rel. 426, hkl 0 2 1; 2.559 Å, 2θ 35.06, rel. 499, hkl 2 0 0; 2.458 Å, 2θ 36.56, rel. 818, hkl 1 0 2; 2.376 Å, 2θ 37.87, rel. 1000, hkl 1 2 1; 1.851 Å, 2θ 49.21, rel. 283, hkl 2 2 1; 1.594 Å, 2θ 57.86, rel. 186, hkl 0 2 3; 1.457 Å, 2θ 63.88, rel. 157, hkl 3 0 2; 1.440 Å, 2θ 64.76, rel. 203, hkl 3 2 1; 1.353 Å, 2θ 69.50, rel. 242, hkl 2 2 3

No. 2
Theoretical X-ray powder pattern of Nd4Dy6Th for Cu Kα (λ = 1.5418 Å), from a crystal structure in Alexandria, relaxed with GGA-PBE.
Kinematic intensities with the Lorentz-polarization factor, no thermal factor.

Atomic structure:
```
data_Nd4Dy6Th
_chemical_formula_sum 'Nd16 Dy24 Th4'
_symmetry_space_group_name_H-M 'C m c m'
_symmetry_Int_Tables_number 63
_symmetry_space_group_name_Hall '-C 2c 2'
_cell_length_a 5.821
_cell_length_b 9.661
_cell_length_c 25.938
_cell_angle_alpha 90.00
_cell_angle_beta 90.00
_cell_angle_gamma 90.00
loop_
_atom_site_label
_atom_site_fract_x
_atom_site_fract_y
_atom_site_fract_z
Nd1 0.000 0.038 0.123
Nd2 0.000 0.346 0.044
Dy1 0.000 0.000 0.000
Dy2 0.000 0.038 0.250
Dy3 0.000 0.306 0.603
Dy4 0.000 0.369 0.184
Th1 0.000 0.299 0.750
```

Most intense lines, 2θ = 5–70°, in order of rising 2θ:
2.974 Å, 2θ 30.05, rel. 785, hkl 1 1 7; 2.940 Å, 2θ 30.40, rel. 582, hkl 0 2 7; 2.910 Å, 2θ 30.72, rel. 763, hkl 2 0 0; 2.818 Å, 2θ 31.76, rel. 1000, hkl 1 3 0; 2.801 Å, 2θ 31.95, rel. 392, hkl 1 3 1; 2.718 Å, 2θ 32.95, rel. 508, hkl 1 1 8; 2.068 Å, 2θ 43.77, rel. 432, hkl 2 2 7; 1.662 Å, 2θ 55.28, rel. 247, hkl 3 3 0; 1.612 Å, 2θ 57.14, rel. 191, hkl 2 4 8; 1.406 Å, 2θ 66.48, rel. 175, hkl 2 6 1

No. 3
Theoretical X-ray powder pattern of Dy5Hg2N for Cu Kα (λ = 1.5418 Å), from a crystal structure in Alexandria, relaxed with GGA-PBE.
Kinematic intensities with the Lorentz-polarization factor, no thermal factor.

Atomic structure:
```
data_Dy5Hg2N
_chemical_formula_sum 'Dy20 Hg8 N4'
_symmetry_space_group_name_H-M 'C m c m'
_symmetry_Int_Tables_number 63
_symmetry_space_group_name_Hall '-C 2c 2'
_cell_length_a 3.661
_cell_length_b 20.099
_cell_length_c 12.904
_cell_angle_alpha 90.00
_cell_angle_beta 90.00
_cell_angle_gamma 90.00
loop_
_atom_site_label
_atom_site_fract_x
_atom_site_fract_y
_atom_site_fract_z
Dy1 0.000 0.075 0.106
Dy2 0.000 0.304 0.750
Dy3 0.000 0.314 0.056
Hg1 0.000 0.077 0.640
N1 0.000 0.131 0.250
```

Most intense lines, 2θ = 5–70°, in order of rising 2θ:
3.602 Å, 2θ 24.72, rel. 479, hkl 1 1 0; 3.268 Å, 2θ 27.29, rel. 489, hkl 0 4 3; 3.212 Å, 2θ 27.77, rel. 447, hkl 1 3 0; 3.072 Å, 2θ 29.07, rel. 424, hkl 0 2 4; 2.761 Å, 2θ 32.42, rel. 425, hkl 1 1 3; 2.707 Å, 2θ 33.10, rel. 1000, hkl 1 5 0; 2.512 Å, 2θ 35.74, rel. 432, hkl 0 8 0; 2.403 Å, 2θ 37.43, rel. 627, hkl 1 1 4; 2.324 Å, 2θ 38.75, rel. 379, hkl 0 6 4; 1.851 Å, 2θ 49.24, rel. 418, hkl 1 7 4

No. 4
Theoretical X-ray powder pattern of Ca2Ir3 for Cu Kα (λ = 1.5418 Å), from a crystal structure in Alexandria, relaxed with GGA-PBE.
Kinematic intensities with the Lorentz-polarization factor, no thermal factor.

Atomic structure:
```
data_Ca2Ir3
_chemical_formula_sum 'Ca16 Ir24'
_symmetry_space_group_name_H-M 'F d d 2'
_symmetry_Int_Tables_number 43
_symmetry_space_group_name_Hall 'F 2 -2d'
_cell_length_a 9.215
_cell_length_b 16.412
_cell_length_c 5.573
_cell_angle_alpha 90.00
_cell_angle_beta 90.00
_cell_angle_gamma 90.00
loop_
_atom_site_label
_atom_site_fract_x
_atom_site_fract_y
_atom_site_fract_z
Ca1 0.082 0.206 0.000
Ir1 0.000 0.000 0.259
Ir2 0.084 0.125 0.484
```

Most intense lines, 2θ = 5–70°, in order of rising 2θ:
4.579 Å, 2θ 19.38, rel. 1000, hkl 1 1 1; 4.018 Å, 2θ 22.13, rel. 122, hkl 2 2 0; 2.704 Å, 2θ 33.13, rel. 151, hkl 1 5 1; 2.639 Å, 2θ 33.98, rel. 128, hkl 0 2 2; 2.414 Å, 2θ 37.25, rel. 378, hkl 3 3 1; 2.290 Å, 2θ 39.35, rel. 337, hkl 2 2 2; 2.218 Å, 2θ 40.68, rel. 149, hkl 4 2 0; 2.104 Å, 2θ 42.99, rel. 213, hkl 1 7 1; 2.081 Å, 2θ 43.50, rel. 212, hkl 3 5 1; 2.062 Å, 2θ 43.92, rel. 227, hkl 2 4 2

No. 5
Theoretical X-ray powder pattern of KAsAu2S4 for Cu Kα (λ = 1.5418 Å), from a crystal structure in Alexandria, relaxed with GGA-PBE.
Kinematic intensities with the Lorentz-polarization factor, no thermal factor.

Atomic structure:
```
data_KAsAu2S4
_chemical_formula_sum 'K2 As2 Au4 S8'
_symmetry_space_group_name_H-M 'I 2 2 2'
_symmetry_Int_Tables_number 23
_cell_length_a 6.295
_cell_length_b 8.237
_cell_length_c 8.542
_cell_angle_alpha 90.00
_cell_angle_beta 90.00
_cell_angle_gamma 90.00
loop_
_symmetry_equiv_pos_as_xyz
'x,y,z'
'-x,-y,z'
'x,-y,-z'
'-x,y,-z'
'x+1/2,y+1/2,z+1/2'
'-x+1/2,-y+1/2,z+1/2'
'x+1/2,-y+1/2,-z+1/2'
'-x+1/2,y+1/2,-z+1/2'
loop_
_atom_site_label
_atom_site_fract_x
_atom_site_fract_y
_atom_site_fract_z
K1 0.000 0.000 0.000
As1 0.000 0.000 0.500
Au1 0.000 0.500 0.175
S1 0.195 0.159 0.344
```

Most intense lines, 2θ = 5–70°, in order of rising 2θ:
5.929 Å, 2θ 14.94, rel. 1000, hkl 0 1 1; 5.002 Å, 2θ 17.73, rel. 598, hkl 1 1 0; 4.118 Å, 2θ 21.58, rel. 674, hkl 0 2 0; 3.248 Å, 2θ 27.46, rel. 926, hkl 1 1 2; 3.148 Å, 2θ 28.35, rel. 280, hkl 2 0 0; 2.691 Å, 2θ 33.29, rel. 400, hkl 0 1 3; 2.594 Å, 2θ 34.58, rel. 296, hkl 1 0 3; 2.501 Å, 2θ 35.91, rel. 560, hkl 2 2 0; 2.195 Å, 2θ 41.12, rel. 502, hkl 1 2 3; 2.168 Å, 2θ 41.65, rel. 323, hkl 1 3 2

No. 6
Theoretical X-ray powder pattern of Pm2Tm6Sc for Cu Kα (λ = 1.5418 Å), from a crystal structure in Alexandria, relaxed with GGA-PBE.
Kinematic intensities with the Lorentz-polarization factor, no thermal factor.

Atomic structure:
```
data_Pm2Tm6Sc
_chemical_formula_sum 'Pm8 Tm24 Sc4'
_symmetry_space_group_name_H-M 'C 1 2/c 1'
_symmetry_Int_Tables_number 15
_cell_length_a 12.648
_cell_length_b 13.931
_cell_length_c 6.443
_cell_angle_alpha 90.00
_cell_angle_beta 103.23
_cell_angle_gamma 90.00
loop_
_symmetry_equiv_pos_as_xyz
'x,y,z'
'-x,-y,-z'
'-x,y,-z+1/2'
'x,-y,z+1/2'
'x+1/2,y+1/2,z'
'-x+1/2,-y+1/2,-z'
'-x+1/2,y+1/2,-z+1/2'
'x+1/2,-y+1/2,z+1/2'
loop_
_atom_site_label
_atom_site_fract_x
_atom_site_fract_y
_atom_site_fract_z
Pm1 0.143 0.026 0.374
Tm1 0.032 0.191 0.002
Tm2 0.130 0.412 0.807
Tm3 0.245 0.200 0.735
Sc1 0.000 0.383 0.250
```

Most intense lines, 2θ = 5–70°, in order of rising 2θ:
3.075 Å, 2θ 29.04, rel. 282, hkl 3 3 0; 3.045 Å, 2θ 29.33, rel. 856, hkl 0 4 1; 2.828 Å, 2θ 31.64, rel. 1000, hkl 2 2 -2; 2.815 Å, 2θ 31.78, rel. 779, hkl 4 2 0; 2.797 Å, 2θ 32.00, rel. 672, hkl 4 2 -1; 2.718 Å, 2θ 32.96, rel. 506, hkl 1 5 0; 2.646 Å, 2θ 33.87, rel. 334, hkl 1 3 -2; 2.616 Å, 2θ 34.28, rel. 473, hkl 2 4 1; 2.567 Å, 2θ 34.96, rel. 529, hkl 2 0 2; 1.439 Å, 2θ 64.78, rel. 216, hkl 8 4 -1

No. 7
Theoretical X-ray powder pattern of Nd7Rh2Pb2 for Cu Kα (λ = 1.5418 Å), from a crystal structure in Alexandria, relaxed with GGA-PBE.
Kinematic intensities with the Lorentz-polarization factor, no thermal factor.

Atomic structure:
```
data_Nd7Rh2Pb2
_chemical_formula_sum 'Nd14 Rh4 Pb4'
_symmetry_space_group_name_H-M 'C m m m'
_symmetry_Int_Tables_number 65
_symmetry_space_group_name_Hall '-C 2 2'
_cell_length_a 8.418
_cell_length_b 11.375
_cell_length_c 7.375
_cell_angle_alpha 90.00
_cell_angle_beta 90.00
_cell_angle_gamma 90.00
loop_
_atom_site_label
_atom_site_fract_x
_atom_site_fract_y
_atom_site_fract_z
Nd1 0.000 0.000 0.000
Nd2 0.000 0.500 0.231
Nd3 0.250 0.250 0.248
Rh1 0.000 0.282 0.000
Pb1 0.185 0.000 0.500
```

Most intense lines, 2θ = 5–70°, in order of rising 2θ:
4.504 Å, 2θ 19.71, rel. 298, hkl 0 2 1; 3.656 Å, 2θ 24.35, rel. 426, hkl 2 0 1; 3.383 Å, 2θ 26.34, rel. 233, hkl 2 2 0; 3.238 Å, 2θ 27.55, rel. 424, hkl 1 1 2; 3.094 Å, 2θ 28.86, rel. 272, hkl 0 2 2; 2.844 Å, 2θ 31.46, rel. 624, hkl 0 4 0; 2.522 Å, 2θ 35.60, rel. 369, hkl 1 3 2; 2.493 Å, 2θ 36.03, rel. 1000, hkl 2 2 2; 1.565 Å, 2θ 59.02, rel. 194, hkl 2 6 2; 1.547 Å, 2θ 59.78, rel. 193, hkl 0 4 4

No. 8
Theoretical X-ray powder pattern of TaBe4Ni5 for Cu Kα (λ = 1.5418 Å), from a crystal structure in Alexandria, relaxed with GGA-PBE.
Kinematic intensities with the Lorentz-polarization factor, no thermal factor.

Atomic structure:
```
data_TaBe4Ni5
_chemical_formula_sum 'Ta1 Be4 Ni5'
_symmetry_space_group_name_H-M 'P 4/m m m'
_symmetry_Int_Tables_number 123
_symmetry_space_group_name_Hall '-P 4 2'
_cell_length_a 2.653
_cell_length_b 2.653
_cell_length_c 14.248
_cell_angle_alpha 90.00
_cell_angle_beta 90.00
_cell_angle_gamma 90.00
loop_
_atom_site_label
_atom_site_fract_x
_atom_site_fract_y
_atom_site_fract_z
Ta1 0.000 0.000 0.000
Be1 0.000 0.000 0.227
Be2 0.000 0.000 0.410
Ni1 0.500 0.500 0.138
Ni2 0.500 0.500 0.319
Ni3 0.500 0.500 0.500
```

Most intense lines, 2θ = 5–70°, in order of rising 2θ:
14.248 Å, 2θ 6.20, rel. 1000, hkl 0 0 1; 7.124 Å, 2θ 12.42, rel. 236, hkl 0 0 2; 2.608 Å, 2θ 34.39, rel. 219, hkl 1 0 1; 2.486 Å, 2θ 36.13, rel. 203, hkl 1 0 2; 2.375 Å, 2θ 37.89, rel. 158, hkl 0 0 6; 2.316 Å, 2θ 38.89, rel. 190, hkl 1 0 3; 2.128 Å, 2θ 42.49, rel. 198, hkl 1 0 4; 1.942 Å, 2θ 46.79, rel. 376, hkl 1 0 5; 1.876 Å, 2θ 48.53, rel. 268, hkl 1 1 0; 1.472 Å, 2θ 63.17, rel. 134, hkl 1 1 6